[1]
The following is a simulated X-ray diffraction stick pattern of Pm5Pr4Y2. It was derived from DFT lattice parameters and positions (GGA-PBE), using Cu Kα X-rays.
No peak broadening, texture or thermal motion is included.

The 10 most intense peaks (2θ = 15–90°), in order of rising 2θ:
| two_theta | d_spacing | intensity |
| --- | --- | --- |
| 27.15 | 3.285 | 70.6 |
| 30.21 | 2.958 | 100.0 |
| 30.64 | 2.917 | 80.1 |
| 30.97 | 2.888 | 76.5 |
| 33.00 | 2.714 | 93.4 |
| 33.47 | 2.678 | 88.0 |
| 50.45 | 1.809 | 44.0 |
| 50.84 | 1.796 | 26.2 |
| 55.15 | 1.665 | 31.0 |
| 60.30 | 1.535 | 28.4 |

Structure:
```
data_Pm5Pr4Y2
_chemical_formula_sum 'Pm5 Pr4 Y2'
_cell_length_a 12.3853
_cell_length_b 12.3853
_cell_length_c 8.8710
_cell_angle_alpha 94.34
_cell_angle_beta 94.34
_cell_angle_gamma 16.67
_space_group_name_H-M_alt 'P 1'
_space_group_IT_number 1
_space_group_name_Hall 'P 1'
loop_
_atom_site_label
_atom_site_fract_x
_atom_site_fract_y
_atom_site_fract_z
_atom_site_occupancy
Pm1 0.0000 0.0000 0.0000 1
Pm2 0.3155 0.3155 0.5255 1
Pm3 0.3697 0.3697 0.9531 1
Pm4 0.6303 0.6303 0.0469 1
Pm5 0.6845 0.6845 0.4745 1
Pr1 0.2260 0.2260 0.8259 1
Pr2 0.4589 0.4589 0.6542 1
Pr3 0.5411 0.5411 0.3458 1
Pr4 0.7740 0.7740 0.1741 1
Y1 0.0874 0.0874 0.6982 1
Y2 0.9126 0.9126 0.3018 1
```

[2]
The following is a simulated X-ray diffraction stick pattern of SrCa2PuN4. It was derived from DFT lattice parameters and positions (GGA-PBE), using Cu Kα X-rays.
No peak broadening, texture or thermal motion is included.

The 10 most intense peaks (2θ = 15–90°), in order of rising 2θ:
| two_theta | d_spacing | intensity |
| --- | --- | --- |
| 15.41 | 5.751 | 100.0 |
| 17.57 | 5.049 | 20.5 |
| 29.48 | 3.030 | 56.9 |
| 30.71 | 2.911 | 61.9 |
| 31.10 | 2.876 | 60.2 |
| 35.56 | 2.524 | 32.2 |
| 35.97 | 2.496 | 67.8 |
| 51.48 | 1.775 | 43.3 |
| 53.83 | 1.703 | 18.2 |
| 61.16 | 1.515 | 29.5 |

Structure:
```
data_SrCa2PuN4
_chemical_formula_sum 'Sr2 Ca4 Pu2 N8'
_cell_length_a 7.1012
_cell_length_b 7.1012
_cell_length_c 7.1012
_cell_angle_alpha 120.97
_cell_angle_beta 119.76
_cell_angle_gamma 89.37
_space_group_name_H-M_alt 'P 1'
_space_group_IT_number 1
_space_group_name_Hall 'P 1'
loop_
_atom_site_label
_atom_site_fract_x
_atom_site_fract_y
_atom_site_fract_z
_atom_site_occupancy
Sr1 0.5000 0.0000 0.0000 1
Sr2 0.5000 0.5000 0.5000 1
Ca1 0.0000 0.0000 0.0000 1
Ca2 0.0000 0.0000 0.5000 1
Ca3 0.0000 0.5000 0.0000 1
Ca4 0.5000 0.0000 0.5000 1
Pu1 0.0000 0.5000 0.5000 1
Pu2 0.5000 0.5000 0.0000 1
N1 0.1905 0.6987 0.4918 1
N2 0.2463 0.2636 0.5173 1
N3 0.2463 0.7290 0.9827 1
N4 0.2931 0.3013 0.9918 1
N5 0.7069 0.6987 0.0082 1
N6 0.7537 0.2710 0.0173 1
N7 0.7537 0.7364 0.4827 1
N8 0.8095 0.3013 0.5082 1
```